The following is a theoretical PXRD pattern of ZrBeFeBr. It was derived from a crystal structure in Alexandria, relaxed with PBE, using a wavelength of 1.5418 Å.

Main lines, most intense first (2θ from 10° to 80°):
d (Å), I_rel
2.631, 100
2.225, 69
7.065, 62
2.032, 58
2.916, 57
1.897, 48
3.201, 33
2.110, 26
1.288, 25
1.367, 24
3.532, 23
1.217, 22

Structural model:
Unit cell a=3.1713 b=3.2011 c=7.2396 alpha=90.00 beta=102.61 gamma=90.00
Sites, in units of the cell vectors:
Zr1 0.0000 0.0000 0.0000
Be1 0.8238 0.0000 0.6426
Fe1 0.3969 0.5000 0.7909
Br1 0.6636 0.0000 0.3273



The following is a theoretical PXRD pattern of Hf2Nb3Tc2. It was derived from a crystal structure in Alexandria, relaxed with PBE, using a wavelength of 1.5418 Å.

Main lines, most intense first (2θ from 10° to 80°):
d (Å), I_rel
2.526, 100
2.408, 76
2.301, 63
2.322, 63
2.515, 62
2.487, 53
2.064, 34
2.284, 28
1.599, 26
2.698, 22
1.317, 20
2.222, 18

Structural model:
Unit cell a=10.9877 b=3.1973 c=8.2567 alpha=90.00 beta=115.22 gamma=90.00
Sites, in units of the cell vectors:
Hf1 0.1460 0.0000 0.3239
Hf2 0.3540 0.5000 0.6761
Hf3 0.6460 0.5000 0.3239
Hf4 0.8540 0.0000 0.6761
Nb1 0.0000 0.5000 0.5000
Nb2 0.1111 0.5000 0.9557
Nb3 0.3889 0.0000 0.0443
Nb4 0.5000 0.0000 0.5000
Nb5 0.6111 0.0000 0.9557
Nb6 0.8889 0.5000 0.0443
Tc1 0.1749 0.0000 0.7412
Tc2 0.3251 0.5000 0.2588
Tc3 0.6749 0.5000 0.7412
Tc4 0.8251 0.0000 0.2588



The following is a theoretical PXRD pattern of CaB2Br8. It was derived from a crystal structure in Alexandria, relaxed with PBE, using a wavelength of 1.5418 Å.

Main lines, most intense first (2θ from 10° to 80°):
d (Å), I_rel
3.207, 100
2.936, 76
5.226, 62
8.528, 59
7.912, 59
3.193, 58
5.320, 50
4.239, 50
3.956, 43
2.604, 38
2.495, 33
3.360, 33

Structural model:
Unit cell a=10.5228 b=10.5228 c=9.8850 alpha=116.80 beta=116.80 gamma=57.51
Sites, in units of the cell vectors:
Ca1 0.0254 0.9746 0.7500
Ca2 0.9746 0.0254 0.2500
B1 0.1416 0.6672 0.9359
B2 0.3328 0.8584 0.5641
B3 0.6672 0.1416 0.4359
B4 0.8584 0.3328 0.0641
Br1 0.0575 0.2610 0.0103
Br2 0.0848 0.6488 0.7019
Br3 0.1498 0.7853 0.4376
Br4 0.2147 0.8502 0.0624
Br5 0.2610 0.0575 0.5103
Br6 0.3067 0.4715 0.9881
Br7 0.3512 0.9152 0.7981
Br8 0.4715 0.3067 0.4881
Br9 0.5285 0.6933 0.5119
Br10 0.6488 0.0848 0.2019
Br11 0.6933 0.5285 0.0119
Br12 0.7390 0.9425 0.4897
Br13 0.7853 0.1498 0.9376
Br14 0.8502 0.2147 0.5624
Br15 0.9152 0.3512 0.2981
Br16 0.9425 0.7390 0.9897



The following is a theoretical PXRD pattern of CsGa3Au3. It was derived from a crystal structure in Alexandria, relaxed with PBE, using a wavelength of 1.5418 Å.

Main lines, most intense first (2θ from 10° to 80°):
d (Å), I_rel
3.300, 100
2.292, 92
2.961, 90
2.318, 67
1.985, 56
4.522, 52
4.030, 43
2.775, 42
1.908, 33
1.678, 32
1.883, 30
1.753, 29

Structural model:
Unit cell a=9.7857 b=9.7857 c=9.7857 alpha=42.60 beta=42.60 gamma=42.60
Sites, in units of the cell vectors:
Cs1 0.1655 0.1655 0.1655
Cs2 0.8345 0.8345 0.8345
Ga1 0.0399 0.6183 0.2082
Ga2 0.2082 0.0399 0.6183
Ga3 0.3817 0.7918 0.9601
Ga4 0.6183 0.2082 0.0399
Ga5 0.7918 0.9601 0.3817
Ga6 0.9601 0.3817 0.7918
Au1 0.1579 0.6257 0.3881
Au2 0.3743 0.6119 0.8421
Au3 0.3881 0.1579 0.6257
Au4 0.6119 0.8421 0.3743
Au5 0.6257 0.3881 0.1579
Au6 0.8421 0.3743 0.6119



The following is a theoretical PXRD pattern of Mg7Co. It was derived from a crystal structure in Alexandria, relaxed with PBE, using a wavelength of 1.5418 Å.

Main lines, most intense first (2θ from 10° to 80°):
d (Å), I_rel
2.346, 100
2.676, 26
2.439, 25
1.305, 18
1.390, 17
5.351, 17
1.545, 16
1.803, 15
1.290, 13
3.605, 7
1.868, 5
2.610, 4

Structural model:
Unit cell a=6.1792 b=6.1792 c=4.8786 alpha=90.00 beta=90.00 gamma=120.00
Sites, in units of the cell vectors:
Mg1 0.0000 0.0000 0.0000
Mg2 0.0192 0.5096 0.0000
Mg3 0.3339 0.1670 0.5000
Mg4 0.4904 0.5096 0.0000
Mg5 0.4904 0.9808 0.0000
Mg6 0.8330 0.1670 0.5000
Mg7 0.8330 0.6661 0.5000
Co1 0.3333 0.6667 0.5000



The following is a theoretical PXRD pattern of ZrNpOs. It was derived from a crystal structure in Alexandria, relaxed with PBE, using a wavelength of 1.5418 Å.

Main lines, most intense first (2θ from 10° to 80°):
d (Å), I_rel
5.226, 100
2.613, 43
2.101, 40
1.826, 34
2.260, 28
2.636, 27
2.787, 27
2.225, 23
2.530, 22
1.709, 19
4.519, 16
1.817, 15

Structural model:
Unit cell a=9.0388 b=10.4515 c=3.0527 alpha=90.00 beta=90.00 gamma=90.00
Sites, in units of the cell vectors:
Zr1 0.0000 0.2285 0.0000
Zr2 0.0000 0.7715 0.0000
Zr3 0.5000 0.2715 0.0000
Zr4 0.5000 0.7285 0.0000
Np1 0.0000 0.0000 0.5000
Np2 0.0000 0.5000 0.0000
Np3 0.5000 0.0000 0.0000
Np4 0.5000 0.5000 0.5000
Os1 0.2172 0.5000 0.5000
Os2 0.2828 0.0000 0.5000
Os3 0.7172 0.0000 0.5000
Os4 0.7828 0.5000 0.5000



The following is a theoretical PXRD pattern of Rb2Bi4Pt3. It was derived from a crystal structure in Alexandria, relaxed with PBE, using a wavelength of 1.5418 Å.

Main lines, most intense first (2θ from 10° to 80°):
d (Å), I_rel
2.746, 100
2.691, 56
2.256, 53
5.379, 53
7.175, 47
2.448, 47
1.793, 43
1.676, 42
3.265, 33
5.810, 29
3.348, 26
1.225, 25

Structural model:
Unit cell a=9.2328 b=7.9180 c=6.7061 alpha=77.81 beta=56.96 gamma=45.23
Sites, in units of the cell vectors:
Rb1 0.1244 0.1244 0.8756
Rb2 0.8756 0.8756 0.1244
Bi1 0.1938 0.5309 0.4691
Bi2 0.4691 0.8062 0.1938
Bi3 0.5309 0.1938 0.8062
Bi4 0.8062 0.4691 0.5309
Pt1 0.0000 0.0000 0.5000
Pt2 0.5000 0.5000 0.0000
Pt3 0.5000 0.5000 0.5000